Structure and computed X-ray powder pattern of Cs4InSn4 (DFT lattice parameters and positions (PBE); a wavelength of 1.5418 Å).

Structural model:
```
data_Cs4InSn4
_chemical_formula_sum 'Cs8 In2 Sn8'
_space_group_name_H-M_alt 'I -4 2 m'
_space_group_IT_number 121
_space_group_name_Hall 'I -4 2'
_cell_length_a 7.7358
_cell_length_b 7.7358
_cell_length_c 17.2457
_cell_angle_alpha 90.00
_cell_angle_beta 90.00
_cell_angle_gamma 90.00
loop_
_atom_site_label
_atom_site_type_symbol
_atom_site_fract_x
_atom_site_fract_y
_atom_site_fract_z
Cs1 Cs 0.1768 0.1768 0.3691
In1 In 0.0000 0.0000 0.0000
Sn1 Sn 0.1333 0.1333 0.1465
```

Peak list (10 most intense, 10 to 80 degrees two-theta, in order of rising 2θ)
| h k l | two_theta | I (rel.) |
| --- | --- | --- |
| 1 0 1 | 12.5 | 18 |
| 1 1 0 | 16.2 | 41 |
| 0 0 4 | 20.6 | 41 |
| 2 1 1 | 26.3 | 100 |
| 2 1 3 | 30.1 | 26 |
| 0 0 6 | 31.1 | 27 |
| 2 1 5 | 36.8 | 58 |
| 3 1 2 | 38.3 | 16 |
| 3 1 4 | 42.5 | 28 |
| 2 1 9 | 54.8 | 17 |